Record 1
For PtCI2O, the GGA-PBE geometry in OQMD gives the computed powder diffractogram in this record (a wavelength of 1.5418 Å).
Lines closer than 0.1° are merged.

Largest 10 diffraction maxima, low angle first, 2θ from 10° to 80°:
- 13.12 deg, I = 90.2
- 16.61 deg, I = 35.2
- 17.08 deg, I = 81.1
- 17.58 deg, I = 26.7
- 18.17 deg, I = 23.2
- 22.74 deg, I = 40.0
- 24.57 deg, I = 31.7
- 29.73 deg, I = 100.0
- 32.90 deg, I = 46.6
- 44.15 deg, I = 30.3

Atomic structure:
```
20
Lattice="5.450 -4.539 0.000 5.450 4.539 0.000 -4.925 0.000 12.029" Properties=species:S:1:pos:R:3 pbc="T T T"
Pt 1.530 0.760 0.964
Pt -0.933 -0.760 6.979
Pt 6.908 0.760 5.050
Pt 4.445 -0.760 11.065
C 3.375 0.556 1.048
C 0.912 -0.556 7.062
C 5.062 0.556 4.967
C 2.600 -0.556 10.981
I -1.183 1.834 9.290
I 1.882 3.455 6.928
I 1.630 3.455 11.116
I 1.279 -1.834 3.276
I 4.695 1.834 8.754
I 4.345 -3.455 0.913
I 4.092 -3.455 5.101
I 7.158 -1.834 2.739
O 4.521 0.430 1.127
O 3.917 0.430 4.887
O 2.058 -0.430 7.142
O 1.454 -0.430 10.902
```



Record 2
For PrGaCuSnPd, the GGA-PBE geometry in OQMD gives the computed powder diffractogram in this record (a wavelength of 1.5418 Å).
Lines closer than 0.1° are merged.

Largest 10 diffraction maxima, low angle first, 2θ from 10° to 80°:
- 32.51 deg, I = 42.6
- 33.33 deg, I = 100.0
- 39.74 deg, I = 14.5
- 40.88 deg, I = 61.0
- 44.93 deg, I = 16.7
- 47.68 deg, I = 17.1
- 53.17 deg, I = 20.9
- 59.20 deg, I = 20.3
- 64.58 deg, I = 13.6
- 69.66 deg, I = 23.4

Atomic structure:
```
10
Lattice="4.415 0.000 0.000 0.000 4.415 0.000 0.000 0.000 10.574" Properties=species:S:1:pos:R:3 pbc="T T T"
Pr 1.104 1.104 2.420
Pr 3.311 3.311 8.154
Ga 1.104 1.104 9.414
Ga 3.311 3.311 1.160
Cu 1.104 3.311 0.000
Cu 3.311 1.104 0.000
Sn 1.104 3.311 5.287
Sn 3.311 1.104 5.287
Pd 1.104 1.104 6.910
Pd 3.311 3.311 3.664
```



Record 3
For LiHgBiTe3, the GGA-PBE geometry in OQMD gives the computed powder diffractogram in this record (a wavelength of 1.5418 Å).
Lines closer than 0.1° are merged.

Largest 10 diffraction maxima, low angle first, 2θ from 10° to 80°:
- 12.54 deg, I = 69.2
- 22.24 deg, I = 27.4
- 25.77 deg, I = 28.5
- 28.61 deg, I = 36.4
- 30.03 deg, I = 32.8
- 31.49 deg, I = 100.0
- 32.66 deg, I = 22.1
- 40.55 deg, I = 25.0
- 41.25 deg, I = 23.6
- 44.32 deg, I = 21.3

Atomic structure:
```
12
Lattice="2.225 -7.060 0.000 2.225 7.060 0.000 0.000 0.000 11.901" Properties=species:S:1:pos:R:3 pbc="T T T"
Li 2.225 3.632 8.926
Li 2.225 -3.632 2.975
Hg 2.225 6.407 2.975
Hg 2.225 -6.407 8.926
Bi 2.225 0.000 0.000
Bi 2.225 0.000 5.951
Te 2.225 4.886 0.618
Te 2.225 4.886 5.333
Te 2.225 1.367 2.975
Te 2.225 -1.367 8.926
Te 2.225 -4.886 6.568
Te 2.225 -4.886 11.283
```



Record 4
For Lu3SbS2, the GGA-PBE geometry in OQMD gives the computed powder diffractogram in this record (a wavelength of 1.5418 Å).
Lines closer than 0.1° are merged.

Largest 10 diffraction maxima, low angle first, 2θ from 10° to 80°:
- 27.52 deg, I = 43.6
- 31.89 deg, I = 100.0
- 38.19 deg, I = 7.7
- 45.67 deg, I = 36.3
- 45.77 deg, I = 27.8
- 54.17 deg, I = 13.7
- 56.78 deg, I = 19.2
- 66.65 deg, I = 9.0
- 75.72 deg, I = 16.5
- 75.87 deg, I = 8.7

Atomic structure:
```
6
Lattice="3.973 0.000 0.000 -1.986 3.441 0.000 0.000 0.000 9.701" Properties=species:S:1:pos:R:3 pbc="T T T"
Lu 0.000 0.000 0.000
Lu 0.000 2.294 6.740
Lu 1.986 1.147 2.960
Sb 0.000 0.000 4.850
S 0.000 2.294 1.485
S 1.986 1.147 8.215
```



Record 5
For NdDyGa2Br2, the GGA-PBE geometry in OQMD gives the computed powder diffractogram in this record (a wavelength of 1.5418 Å).
Lines closer than 0.1° are merged.

Largest 10 diffraction maxima, low angle first, 2θ from 10° to 80°:
- 24.56 deg, I = 13.3
- 25.79 deg, I = 20.8
- 29.20 deg, I = 68.0
- 34.18 deg, I = 100.0
- 43.23 deg, I = 51.3
- 47.08 deg, I = 23.8
- 53.02 deg, I = 12.7
- 56.23 deg, I = 23.8
- 66.45 deg, I = 16.8
- 73.48 deg, I = 21.3

Atomic structure:
```
6
Lattice="4.185 0.000 0.000 -2.093 3.625 0.000 0.000 0.000 11.403" Properties=species:S:1:pos:R:3 pbc="T T T"
Nd 0.000 0.000 0.000
Dy 0.000 0.000 7.234
Ga 0.000 2.416 9.595
Ga 2.093 1.208 8.941
Br 0.000 2.416 5.501
Br 2.093 1.208 1.846
```



Record 6
For CdHgAsO, the GGA-PBE geometry in OQMD gives the computed powder diffractogram in this record (a wavelength of 1.5418 Å).
Lines closer than 0.1° are merged.

Largest 10 diffraction maxima, low angle first, 2θ from 10° to 80°:
- 23.98 deg, I = 30.8
- 26.23 deg, I = 42.3
- 27.38 deg, I = 35.3
- 28.88 deg, I = 49.6
- 31.79 deg, I = 100.0
- 35.83 deg, I = 22.9
- 37.41 deg, I = 20.3
- 38.26 deg, I = 27.9
- 45.33 deg, I = 36.3
- 49.91 deg, I = 39.6

Atomic structure:
```
8
Lattice="3.401 0.000 0.000 0.000 7.422 0.000 0.000 0.000 6.795" Properties=species:S:1:pos:R:3 pbc="T T T"
Cd 0.000 1.713 0.000
Cd 0.000 5.708 3.398
Hg 1.701 2.467 3.809
Hg 1.701 4.955 0.412
As 0.000 0.847 2.508
As 0.000 6.574 5.906
O 1.701 2.894 6.043
O 1.701 4.528 2.646
```



Record 7
For AlCdInO4, the GGA-PBE geometry in OQMD gives the computed powder diffractogram in this record (a wavelength of 1.5418 Å).
Lines closer than 0.1° are merged.

Largest 10 diffraction maxima, low angle first, 2θ from 10° to 80°:
- 17.52 deg, I = 100.0
- 33.87 deg, I = 86.3
- 33.97 deg, I = 43.5
- 35.46 deg, I = 56.4
- 41.12 deg, I = 47.4
- 41.29 deg, I = 24.0
- 45.06 deg, I = 31.9
- 54.32 deg, I = 29.3
- 59.55 deg, I = 20.0
- 59.68 deg, I = 40.8

Atomic structure:
```
28
Lattice="6.209 0.000 0.000 0.000 6.209 0.000 0.000 0.000 8.747" Properties=species:S:1:pos:R:3 pbc="T T T"
Al 1.482 1.482 3.280
Al 1.482 4.727 1.093
Al 4.727 1.482 5.467
Al 4.727 4.727 7.653
Cd 1.651 3.105 6.560
Cd 3.105 1.651 0.000
Cd 3.105 4.558 4.373
Cd 4.558 3.105 2.187
In 0.000 1.629 0.000
In 0.000 4.581 4.373
In 1.629 0.000 6.560
In 4.581 0.000 2.187
O 0.020 1.474 2.185
O 0.020 4.736 2.188
O 1.462 2.988 4.256
O 1.462 3.222 0.117
O 1.474 0.020 4.375
O 1.474 6.189 8.745
O 2.988 1.462 2.304
O 2.988 4.748 2.070
O 3.222 1.462 6.443
O 3.222 4.748 6.677
O 4.736 0.020 4.372
O 4.736 6.189 0.001
O 4.748 2.988 4.490
O 4.748 3.222 8.630
O 6.189 1.474 6.562
O 6.189 4.736 6.559
```



Record 8
For Tb4Ga12Cu, the GGA-PBE geometry in OQMD gives the computed powder diffractogram in this record (a wavelength of 1.5418 Å).
Lines closer than 0.1° are merged.

Largest 10 diffraction maxima, low angle first, 2θ from 10° to 80°:
- 20.58 deg, I = 9.5
- 29.26 deg, I = 27.2
- 36.04 deg, I = 100.0
- 41.86 deg, I = 58.5
- 47.08 deg, I = 7.9
- 51.89 deg, I = 7.7
- 60.68 deg, I = 34.4
- 68.77 deg, I = 8.0
- 72.65 deg, I = 30.8
- 76.44 deg, I = 10.3

Atomic structure:
```
17
Lattice="-4.317 4.317 4.317 4.317 -4.317 4.317 4.317 4.317 -4.317" Properties=species:S:1:pos:R:3 pbc="T T T"
Tb 2.158 2.158 -2.158
Tb 2.158 -2.158 2.158
Tb -2.158 2.158 2.158
Tb 2.158 2.158 2.158
Ga 2.530 0.000 0.000
Ga 6.103 0.000 0.000
Ga 4.317 2.158 0.000
Ga 4.317 0.000 2.158
Ga 0.000 2.530 0.000
Ga 0.000 0.000 2.530
Ga 2.158 4.317 0.000
Ga 2.158 0.000 4.317
Ga 0.000 6.103 0.000
Ga 0.000 0.000 6.103
Ga 0.000 4.317 2.158
Ga 0.000 2.158 4.317
Cu 0.000 0.000 0.000
```



Record 9
For Ni2W, the GGA-PBE geometry in OQMD gives the computed powder diffractogram in this record (a wavelength of 1.5418 Å).
Lines closer than 0.1° are merged.

Largest 10 diffraction maxima, low angle first, 2θ from 10° to 80°:
- 19.83 deg, I = 24.4
- 29.33 deg, I = 39.2
- 38.39 deg, I = 33.1
- 41.58 deg, I = 46.5
- 42.85 deg, I = 36.5
- 43.57 deg, I = 31.0
- 44.79 deg, I = 23.7
- 46.06 deg, I = 100.0
- 47.23 deg, I = 26.2
- 74.84 deg, I = 23.3

Atomic structure:
```
30
Lattice="8.954 0.000 0.000 0.000 8.954 0.000 0.000 0.000 4.689" Properties=species:S:1:pos:R:3 pbc="T T T"
Ni 0.611 2.323 0.000
Ni 0.843 0.843 2.345
Ni 1.593 7.361 1.180
Ni 1.593 7.361 3.509
Ni 2.154 5.089 2.345
Ni 2.323 0.611 0.000
Ni 2.884 2.884 1.165
Ni 2.884 2.884 3.525
Ni 3.634 5.321 0.000
Ni 3.866 6.800 2.345
Ni 5.089 2.154 2.345
Ni 5.321 3.634 0.000
Ni 6.070 6.070 1.165
Ni 6.070 6.070 3.525
Ni 6.632 8.343 0.000
Ni 6.800 3.866 2.345
Ni 7.361 1.593 1.180
Ni 7.361 1.593 3.509
Ni 8.111 8.111 2.345
Ni 8.343 6.632 0.000
W 0.000 0.000 0.000
W 0.366 3.234 2.345
W 1.243 4.843 0.000
W 3.234 0.366 2.345
W 4.111 7.711 0.000
W 4.477 4.477 2.345
W 4.843 1.243 0.000
W 5.720 8.589 2.345
W 7.711 4.111 0.000
W 8.589 5.720 2.345
```



Record 10
For Co10Pb, the GGA-PBE geometry in OQMD gives the computed powder diffractogram in this record (a wavelength of 1.5418 Å).
Lines closer than 0.1° are merged.

Largest 10 diffraction maxima, low angle first, 2θ from 10° to 80°:
- 11.62 deg, I = 33.0
- 22.99 deg, I = 22.1
- 38.85 deg, I = 25.0
- 43.32 deg, I = 87.0
- 44.34 deg, I = 44.3
- 45.06 deg, I = 100.0
- 45.73 deg, I = 36.1
- 50.62 deg, I = 23.0
- 51.41 deg, I = 23.1
- 52.48 deg, I = 42.5

Atomic structure:
```
22
Lattice="3.900 -1.744 0.000 3.900 1.744 0.000 -0.085 0.000 30.458" Properties=species:S:1:pos:R:3 pbc="T T T"
Co 0.366 0.000 5.097
Co 0.309 0.000 27.709
Co 1.130 0.000 7.374
Co 1.085 0.000 30.072
Co 1.944 0.000 1.961
Co 1.900 0.000 24.563
Co 2.642 0.000 26.923
Co 2.722 0.000 4.323
Co 3.479 0.000 6.648
Co 3.425 0.000 29.289
Co 4.289 0.000 1.169
Co 4.236 0.000 23.810
Co 4.993 0.000 26.134
Co 5.072 0.000 3.534
Co 5.814 0.000 5.895
Co 5.770 0.000 28.497
Co 6.629 0.000 0.386
Co 6.585 0.000 23.084
Co 7.406 0.000 2.749
Co 7.349 0.000 25.361
Pb 1.083 0.000 21.613
Pb 6.631 0.000 8.845
```



Record 11
For Cu4Ag3, the GGA-PBE geometry in OQMD gives the computed powder diffractogram in this record (a wavelength of 1.5418 Å).
Lines closer than 0.1° are merged.

Largest 10 diffraction maxima, low angle first, 2θ from 10° to 80°:
- 33.21 deg, I = 9.7
- 39.63 deg, I = 5.9
- 40.21 deg, I = 94.5
- 40.63 deg, I = 100.0
- 45.80 deg, I = 64.9
- 49.40 deg, I = 27.6
- 66.16 deg, I = 7.5
- 67.37 deg, I = 10.2
- 69.64 deg, I = 34.2
- 71.27 deg, I = 5.6

Atomic structure:
```
7
Lattice="-1.390 1.845 9.887 1.390 -1.845 9.887 1.390 1.845 -9.887" Properties=species:S:1:pos:R:3 pbc="T T T"
Cu 0.000 0.000 0.000
Cu 0.000 0.000 2.479
Cu 0.000 0.000 11.132
Cu 0.000 0.000 16.912
Ag 0.000 0.000 5.588
Ag 0.000 0.000 8.451
Ag 0.000 0.000 13.807
```



Record 12
For Ta4N5, the GGA-PBE geometry in OQMD gives the computed powder diffractogram in this record (a wavelength of 1.5418 Å).
Lines closer than 0.1° are merged.

Largest 10 diffraction maxima, low angle first, 2θ from 10° to 80°:
- 27.73 deg, I = 24.2
- 28.76 deg, I = 20.9
- 31.56 deg, I = 84.7
- 33.38 deg, I = 100.0
- 36.74 deg, I = 34.2
- 37.86 deg, I = 35.5
- 39.53 deg, I = 22.3
- 47.78 deg, I = 16.3
- 61.81 deg, I = 19.0
- 63.39 deg, I = 16.0

Atomic structure:
```
18
Lattice="4.769 0.000 0.000 0.000 4.688 0.000 -3.952 0.000 9.783" Properties=species:S:1:pos:R:3 pbc="T T T"
Ta -1.005 0.251 3.504
Ta -2.981 2.093 8.396
Ta 1.309 0.550 1.102
Ta -0.667 1.794 5.994
Ta 1.485 2.894 3.790
Ta -0.491 4.138 8.682
Ta 3.798 2.595 1.388
Ta 1.823 4.437 6.280
N -1.712 3.421 5.125
N 0.264 3.612 0.233
N -1.571 0.817 7.487
N 0.404 1.527 2.595
N 0.409 0.000 4.892
N 2.385 2.344 0.000
N 0.413 3.161 7.188
N 2.389 3.871 2.297
N 0.554 1.077 9.550
N 2.530 1.267 4.658
```